# Tb2Y6Al
Calculated powder X-ray diffraction pattern, Cu Ka. Input: a structure optimized by DFT (GGA-PBE).
Kinematic intensities with the Lorentz-polarization factor, no thermal factor.

Crystal structure
Unit cell a=9.8851 b=10.2977 c=5.3956 alpha=90.00 beta=90.00 gamma=90.00
Element x y z (fractional)
Tb 0.1958 0.2389 0.0000
Tb 0.3042 0.7389 0.5000
Tb 0.6958 0.2611 0.5000
Tb 0.8042 0.7611 0.0000
Y 0.0217 0.3133 0.5000
Y 0.1327 0.8928 0.0000
Y 0.1865 0.5652 0.0000
Y 0.3135 0.0652 0.5000
Y 0.3673 0.3928 0.5000
Y 0.4783 0.8133 0.0000
Y 0.5217 0.1867 0.0000
Y 0.6327 0.6072 0.5000
Y 0.6865 0.9348 0.5000
Y 0.8135 0.4348 0.0000
Y 0.8673 0.1072 0.0000
Y 0.9783 0.6867 0.5000
Al 0.0000 0.0000 0.5000
Al 0.5000 0.5000 0.0000

Most intense lines, 2θ from 5° to 70°, in order of rising 2θ:
hkl, 2θ/deg, d (Å), I/Imax
0 2 0, 17.22, 5.149, 16
1 1 1, 20.64, 4.303, 10
0 3 1, 30.87, 2.896, 20
3 0 1, 31.80, 2.814, 100
1 3 1, 32.21, 2.779, 77
3 1 1, 33.02, 2.713, 16
0 0 2, 33.21, 2.698, 41
2 3 2, 46.60, 1.949, 20
3 0 3, 58.46, 1.579, 12
1 3 3, 58.70, 1.573, 13